Diffraction record for LiNdMo2O8. The powder diffractogram is simulated, not measured: it uses DFT lattice parameters and positions (GGA+U) and CuKα.

Main lines, in order of rising 2θ (10° ≤ 2θ ≤ 90°):
15.46°, intensity 175; 18.42°, intensity 286; 28.43°, intensity 1000; 33.77°, intensity 174; 46.65°, intensity 315; 53.85°, intensity 159; 57.18°, intensity 266; 75.39°, intensity 193

Cell: 6.850 6.850 6.850 Å, 134.41 134.41 66.45°
Sites, in units of the cell vectors:
Li (0.000, 0.000, 0.000)
Nd (0.750, 0.250, 0.500)
Mo (0.250, 0.750, 0.500)
Mo (0.500, 0.500, 0.000)
O (0.015, 0.912, 0.595)
O (0.088, 0.683, 0.103)
O (0.171, 0.265, 0.609)
O (0.317, 0.420, 0.405)
O (0.438, 0.829, 0.094)
O (0.580, 0.985, 0.897)
O (0.656, 0.562, 0.391)
O (0.735, 0.344, 0.906)

Diffraction record for La2Fe2O5. The powder diffractogram is simulated, not measured: it uses DFT lattice parameters and positions (GGA+U) and CuKα.

Main lines, in order of rising 2θ (10° ≤ 2θ ≤ 90°):
30.26°, intensity 424; 31.58°, intensity 1000; 31.75°, intensity 327; 32.19°, intensity 414; 44.56°, intensity 192; 44.97°, intensity 189; 45.89°, intensity 149; 54.49°, intensity 156

Cell: 5.561 5.907 8.868 Å, 109.18 107.93 90.50°
Sites, in units of the cell vectors:
La (0.000, 0.000, 0.000)
La (0.222, 0.255, 0.446)
La (0.498, 0.529, 0.000)
La (0.725, 0.724, 0.447)
Fe (0.098, 0.627, 0.224)
Fe (0.380, 0.918, 0.723)
Fe (0.597, 0.126, 0.223)
Fe (0.879, 0.336, 0.723)
O (0.192, 0.675, 0.504)
O (0.260, 0.261, 0.723)
O (0.334, 0.359, 0.178)
O (0.377, 0.890, 0.269)
O (0.413, 0.894, 0.943)
O (0.692, 0.359, 0.504)
O (0.762, 0.991, 0.724)
O (0.834, 0.349, 0.178)
O (0.878, 0.909, 0.269)
O (0.913, 0.578, 0.943)

Diffraction record for Li3TiMn2O6. The powder diffractogram is simulated, not measured: it uses DFT lattice parameters and positions (GGA+U) and CuKα.

Main lines, in order of rising 2θ (10° ≤ 2θ ≤ 90°):
17.95°, intensity 1000; 33.01°, intensity 151; 35.20°, intensity 135; 35.46°, intensity 135; 39.38°, intensity 326; 43.22°, intensity 263; 43.51°, intensity 257; 60.11°, intensity 225

Cell: 5.915 6.574 7.172 Å, 74.15 77.91 63.63°
Sites, in units of the cell vectors:
Li (0.000, 0.000, 0.000)
Li (0.163, 0.321, 0.694)
Li (0.326, 0.643, 0.386)
Li (0.490, 0.004, 0.004)
Li (0.663, 0.321, 0.694)
Li (0.836, 0.639, 0.383)
Ti (0.415, 0.819, 0.692)
Ti (0.911, 0.825, 0.694)
Mn (0.080, 0.162, 0.363)
Mn (0.247, 0.482, 0.022)
Mn (0.583, 0.160, 0.343)
Mn (0.743, 0.484, 0.043)
O (0.048, 0.052, 0.699)
O (0.130, 0.246, 0.029)
O (0.196, 0.399, 0.356)
O (0.278, 0.592, 0.687)
O (0.367, 0.735, 0.983)
O (0.430, 0.905, 0.404)
O (0.550, 0.044, 0.701)
O (0.598, 0.247, 0.024)
O (0.728, 0.397, 0.361)
O (0.776, 0.600, 0.685)
O (0.896, 0.739, 0.982)
O (0.959, 0.909, 0.403)

Diffraction record for LiCoPO4. The powder diffractogram is simulated, not measured: it uses DFT lattice parameters and positions (GGA+U) and CuKα.

Main lines, in order of rising 2θ (10° ≤ 2θ ≤ 90°):
21.80°, intensity 1000; 21.97°, intensity 367; 27.75°, intensity 132; 35.43°, intensity 191; 35.68°, intensity 199; 36.19°, intensity 152; 36.38°, intensity 154; 42.02°, intensity 92

Cell: 4.967 4.967 8.489 Å, 105.05 105.05 61.34°
Sites, in units of the cell vectors:
Li (0.181, 0.819, 0.500)
Li (0.819, 0.181, 0.000)
Co (0.552, 0.936, 0.245)
Co (0.936, 0.552, 0.745)
P (0.177, 0.565, 0.122)
P (0.565, 0.177, 0.622)
O (0.010, 0.663, 0.274)
O (0.218, 0.838, 0.092)
O (0.291, 0.506, 0.654)
O (0.471, 0.970, 0.468)
O (0.506, 0.291, 0.154)
O (0.663, 0.010, 0.774)
O (0.838, 0.218, 0.592)
O (0.970, 0.471, 0.968)

Diffraction record for BaCaNdFeO6. The powder diffractogram is simulated, not measured: it uses DFT lattice parameters and positions (GGA+U) and CuKα.

Main lines, in order of rising 2θ (10° ≤ 2θ ≤ 90°):
21.83°, intensity 181; 31.06°, intensity 1000; 38.28°, intensity 229; 44.50°, intensity 331; 50.09°, intensity 100; 55.26°, intensity 382; 64.75°, intensity 195; 73.55°, intensity 172

Cell: 5.759 5.759 5.759 Å, 60.00 60.00 60.00°
Sites, in units of the cell vectors:
Ba (0.000, 0.000, 0.000)
Ca (0.750, 0.750, 0.750)
Nd (0.500, 0.500, 0.500)
Fe (0.250, 0.250, 0.250)
O (0.020, 0.020, 0.480)
O (0.020, 0.480, 0.020)
O (0.020, 0.480, 0.480)
O (0.480, 0.020, 0.020)
O (0.480, 0.020, 0.480)
O (0.480, 0.480, 0.020)

Diffraction record for AlV4Cu3O12. The powder diffractogram is simulated, not measured: it uses DFT lattice parameters and positions (GGA+U) and CuKα.

Main lines, in order of rising 2θ (10° ≤ 2θ ≤ 90°):
34.40°, intensity 1000; 34.58°, intensity 981; 49.58°, intensity 598; 61.62°, intensity 254; 61.73°, intensity 497; 62.09°, intensity 245; 82.89°, intensity 157; 83.20°, intensity 150

Cell: 6.381 6.381 6.381 Å, 109.61 109.61 109.61°
Sites, in units of the cell vectors:
Al (0.000, 0.000, 0.000)
V (0.000, 0.000, 0.500)
V (0.000, 0.500, 0.000)
V (0.500, 0.000, 0.000)
V (0.500, 0.500, 0.500)
Cu (0.000, 0.500, 0.500)
Cu (0.500, 0.000, 0.500)
Cu (0.500, 0.500, 0.000)
O (0.118, 0.822, 0.289)
O (0.170, 0.294, 0.469)
O (0.178, 0.711, 0.882)
O (0.289, 0.118, 0.822)
O (0.294, 0.469, 0.170)
O (0.469, 0.170, 0.294)
O (0.531, 0.830, 0.706)
O (0.706, 0.531, 0.830)
O (0.711, 0.882, 0.178)
O (0.822, 0.289, 0.118)
O (0.830, 0.706, 0.531)
O (0.882, 0.178, 0.711)